(1)
For Tm4SnB2Pb, a structure optimized by DFT (GGA-PBE) gives the computed powder XRD pattern in this record (Cu Kα X-rays).
Kinematic intensities with the Lorentz-polarization factor, no thermal factor.

Structure:
```
Tm4SnB2Pb
1.0
3.621 0.000 0.000
-1.811 3.136 0.000
0.000 0.000 16.352
Tm Sn B Pb
4 1 2 1
Cartesian
0.000 0.000 2.552 Tm
0.000 0.000 13.800 Tm
1.811 1.045 5.514 Tm
1.811 1.045 10.838 Tm
1.811 1.045 0.000 Sn
0.000 2.091 4.046 B
0.000 2.091 12.306 B
0.000 0.000 8.176 Pb
```

Principal peaks in the range 2θ from 10° to 80°, by intensity:
2θ 32.93, rel. 100
2θ 61.51, rel. 32
2θ 28.46, rel. 19
2θ 50.40, rel. 18
2θ 58.73, rel. 14
2θ 44.02, rel. 13



(2)
For Tb3YB2Pb2, a structure optimized by DFT (GGA-PBE) gives the computed powder XRD pattern in this record (Cu Kα X-rays).
Kinematic intensities with the Lorentz-polarization factor, no thermal factor.

Structure:
```
Tb3YB2Pb2
1.0
3.709 0.000 0.000
-1.855 3.212 0.000
0.000 0.000 16.805
Tb Y B Pb
3 1 2 2
Cartesian
0.000 0.000 0.000 Tb
0.000 0.000 5.399 Tb
0.000 2.142 8.413 Tb
0.000 2.142 13.792 Y
1.855 1.071 6.907 B
1.855 1.071 15.303 B
0.000 0.000 11.115 Pb
0.000 2.142 2.701 Pb
```

Principal peaks in the range 2θ from 10° to 80°, by intensity:
2θ 32.12, rel. 100
2θ 27.77, rel. 23
2θ 59.80, rel. 22
2θ 49.12, rel. 21
2θ 31.95, rel. 21
2θ 57.05, rel. 19



(3)
For Zn4B2Pb3, a structure optimized by DFT (GGA-PBE) gives the computed powder XRD pattern in this record (Cu Kα X-rays).
Kinematic intensities with the Lorentz-polarization factor, no thermal factor.

Structure:
```
Zn4B2Pb3
1.0
7.116 0.000 0.000
-3.558 6.163 0.000
0.000 0.000 3.810
Zn B Pb
4 2 3
Cartesian
0.000 0.000 0.000 Zn
-1.570 4.135 0.000 Zn
0.762 2.735 0.000 Zn
0.808 5.455 0.000 Zn
0.000 4.108 1.905 B
3.558 2.054 0.000 B
2.276 0.514 1.905 Pb
2.865 3.935 1.905 Pb
5.533 1.714 1.905 Pb
```

Principal peaks in the range 2θ from 10° to 80°, by intensity:
2θ 34.49, rel. 100
2θ 38.66, rel. 51
2θ 37.54, rel. 42
2θ 25.03, rel. 40
2θ 59.25, rel. 34
2θ 63.03, rel. 24



(4)
For BPd2, a structure optimized by DFT (GGA-PBE) gives the computed powder XRD pattern in this record (Cu Kα X-rays).
Kinematic intensities with the Lorentz-polarization factor, no thermal factor.

Structure:
```
BPd2
1.0
4.779 0.000 0.000
0.000 3.157 0.000
-0.008 0.000 5.146
B Pd
2 4
Cartesian
0.000 0.000 0.000 B
2.386 1.579 2.573 B
1.165 1.579 4.341 Pd
1.213 0.000 1.768 Pd
3.558 0.000 3.379 Pd
3.607 1.579 0.805 Pd
```

Principal peaks in the range 2θ from 10° to 80°, by intensity:
2θ 38.39, rel. 100
2θ 39.79, rel. 56
2θ 37.65, rel. 35
2θ 33.29, rel. 29
2θ 51.12, rel. 21
2θ 61.52, rel. 18



(5)
For BPd4, a structure optimized by DFT (GGA-PBE) gives the computed powder XRD pattern in this record (Cu Kα X-rays).
Kinematic intensities with the Lorentz-polarization factor, no thermal factor.

Structure:
```
BPd4
1.0
2.902 -5.814 0.000
2.902 5.814 0.000
-2.833 0.000 4.132
B Pd
2 8
Cartesian
0.777 3.726 3.099 B
2.194 -3.726 1.033 B
-0.676 2.161 3.133 Pd
0.780 0.675 1.028 Pd
-0.636 -0.675 3.094 Pd
0.741 -2.161 1.067 Pd
2.230 2.161 3.065 Pd
3.607 0.675 1.038 Pd
2.191 -0.675 3.104 Pd
3.646 -2.161 0.999 Pd
```

Principal peaks in the range 2θ from 10° to 80°, by intensity:
2θ 37.84, rel. 100
2θ 44.10, rel. 69
2θ 37.58, rel. 51
2θ 38.20, rel. 49
2θ 43.82, rel. 35
2θ 76.57, rel. 24



(6)
For BPd6, a structure optimized by DFT (GGA-PBE) gives the computed powder XRD pattern in this record (Cu Kα X-rays).
Kinematic intensities with the Lorentz-polarization factor, no thermal factor.

Structure:
```
BPd6
1.0
0.000 4.057 8.618
2.881 0.000 8.618
2.881 4.057 0.000
B Pd
2 12
Cartesian
0.720 1.014 2.155 B
5.042 7.099 15.082 B
3.569 3.040 4.996 Pd
2.161 1.056 6.464 Pd
3.569 3.045 7.931 Pd
5.010 5.073 9.305 Pd
3.601 3.084 10.773 Pd
5.010 5.069 12.240 Pd
0.752 3.045 4.996 Pd
2.161 5.029 6.464 Pd
0.752 3.040 7.931 Pd
2.193 5.069 9.305 Pd
3.601 7.057 10.773 Pd
2.193 5.073 12.240 Pd
```

Principal peaks in the range 2θ from 10° to 80°, by intensity:
2θ 38.36, rel. 100
2θ 44.54, rel. 34
2θ 64.92, rel. 27
2θ 78.00, rel. 18
2θ 44.68, rel. 17
2θ 77.82, rel. 12



(7)
For PrBPd, a structure optimized by DFT (GGA-PBE) gives the computed powder XRD pattern in this record (Cu Kα X-rays).
Kinematic intensities with the Lorentz-polarization factor, no thermal factor.

Structure:
```
PrBPd
1.0
6.142 0.000 0.000
0.000 6.142 0.000
0.000 0.000 6.142
Pr B Pd
4 4 4
Cartesian
0.000 0.000 0.000 Pr
0.000 3.071 3.071 Pr
3.071 0.000 3.071 Pr
3.071 3.071 0.000 Pr
1.535 1.535 4.606 B
1.535 4.606 1.535 B
4.606 1.535 1.535 B
4.606 4.606 4.606 B
0.000 0.000 3.071 Pd
0.000 3.071 0.000 Pd
3.071 0.000 0.000 Pd
3.071 3.071 3.071 Pd
```

Principal peaks in the range 2θ from 10° to 80°, by intensity:
2θ 29.08, rel. 100
2θ 41.59, rel. 86
2θ 68.30, rel. 35
2θ 75.89, rel. 28
2θ 51.55, rel. 27
2θ 60.28, rel. 14



(8)
For PrBPd3Pt, a structure optimized by DFT (GGA-PBE) gives the computed powder XRD pattern in this record (Cu Kα X-rays).
Kinematic intensities with the Lorentz-polarization factor, no thermal factor.

Structure:
```
PrBPd3Pt
1.0
5.499 0.000 0.000
-2.749 4.762 0.000
0.000 0.000 7.655
Pr B Pd Pt
2 2 6 2
Cartesian
0.000 0.000 0.000 Pr
0.000 0.000 3.828 Pr
0.000 3.175 0.000 B
2.749 1.587 0.000 B
-1.375 2.381 1.502 Pd
-1.375 2.381 6.154 Pd
2.749 0.000 1.502 Pd
2.749 0.000 6.154 Pd
1.375 2.381 1.502 Pd
1.375 2.381 6.154 Pd
0.000 3.175 3.828 Pt
2.749 1.587 3.828 Pt
```

Principal peaks in the range 2θ from 10° to 80°, by intensity:
2θ 40.39, rel. 100
2θ 37.78, rel. 45
2θ 34.67, rel. 40
2θ 35.17, rel. 28
2θ 32.57, rel. 27
2θ 63.44, rel. 26



(9)
For Sr3B2Pd6Pt, a structure optimized by DFT (GGA-PBE) gives the computed powder XRD pattern in this record (Cu Kα X-rays).
Kinematic intensities with the Lorentz-polarization factor, no thermal factor.

Structure:
```
Sr3B2Pd6Pt
1.0
2.821 1.629 7.791
-2.821 1.629 7.791
0.000 -3.258 7.791
Sr B Pd Pt
3 2 6 1
Cartesian
0.000 0.000 0.000 Sr
0.000 0.000 3.389 Sr
0.000 0.000 19.985 Sr
0.000 0.000 7.731 B
0.000 0.000 15.643 B
-1.394 -0.805 9.264 Pd
0.000 -1.610 14.109 Pd
-1.394 0.805 14.109 Pd
1.394 -0.805 9.264 Pd
0.000 1.610 9.264 Pd
1.394 0.805 14.109 Pd
0.000 0.000 11.687 Pt
```

Principal peaks in the range 2θ from 10° to 80°, by intensity:
2θ 39.43, rel. 100
2θ 37.61, rel. 82
2θ 35.81, rel. 68
2θ 36.99, rel. 65
2θ 33.79, rel. 51
2θ 18.55, rel. 45



(10)
For Ta2B2PdPt, a structure optimized by DFT (GGA-PBE) gives the computed powder XRD pattern in this record (Cu Kα X-rays).
Kinematic intensities with the Lorentz-polarization factor, no thermal factor.

Structure:
```
Ta2B2PdPt
1.0
2.706 0.000 0.000
0.000 4.099 0.000
0.000 0.000 18.007
Ta B Pd Pt
4 4 2 2
Cartesian
0.000 0.000 0.000 Ta
0.000 0.000 2.749 Ta
0.000 2.049 9.003 Ta
0.000 2.049 11.752 Ta
0.000 0.000 5.031 B
0.000 0.000 15.698 B
0.000 2.049 6.695 B
0.000 2.049 14.034 B
0.000 0.000 13.540 Pd
0.000 2.049 4.536 Pd
0.000 0.000 7.154 Pt
0.000 2.049 16.157 Pt
```

Principal peaks in the range 2θ from 10° to 80°, by intensity:
2θ 33.11, rel. 100
2θ 26.33, rel. 43
2θ 47.53, rel. 37
2θ 22.24, rel. 25
2θ 42.79, rel. 24
2θ 44.19, rel. 22



(11)
For RbBPd3, a structure optimized by DFT (GGA-PBE) gives the computed powder XRD pattern in this record (Cu Kα X-rays).
Kinematic intensities with the Lorentz-polarization factor, no thermal factor.

Structure:
```
RbBPd3
1.0
5.840 0.000 0.000
-2.920 5.058 0.000
0.000 0.000 5.809
Rb B Pd
2 2 6
Cartesian
0.000 0.000 0.000 Rb
0.000 0.000 2.905 Rb
0.000 3.372 0.000 B
2.920 1.686 0.000 B
-1.460 2.529 1.422 Pd
-1.460 2.529 4.388 Pd
2.920 0.000 1.422 Pd
2.920 0.000 4.388 Pd
1.460 2.529 1.422 Pd
1.460 2.529 4.388 Pd
```

Principal peaks in the range 2θ from 10° to 80°, by intensity:
2θ 35.50, rel. 100
2θ 35.64, rel. 43
2θ 47.68, rel. 30
2θ 63.77, rel. 27
2θ 43.97, rel. 27
2θ 75.49, rel. 21



(12)
For SmBPd3, a structure optimized by DFT (GGA-PBE) gives the computed powder XRD pattern in this record (Cu Kα X-rays).
Kinematic intensities with the Lorentz-polarization factor, no thermal factor.

Structure:
```
SmBPd3
1.0
4.045 0.000 0.000
0.000 4.045 0.000
0.000 0.000 4.974
Sm B Pd
1 1 3
Cartesian
0.000 0.000 0.000 Sm
2.022 2.022 3.407 B
0.000 2.022 2.538 Pd
2.022 0.000 2.538 Pd
2.022 2.022 0.544 Pd
```

Principal peaks in the range 2θ from 10° to 80°, by intensity:
2θ 36.23, rel. 100
2θ 44.82, rel. 31
2θ 76.96, rel. 30
2θ 36.12, rel. 20
2θ 58.86, rel. 19
2θ 65.02, rel. 10